No. 1
Diffraction record for Rb2S5Br2. The X-ray powder pattern is theoretical, not measured: it uses a structure optimized by DFT (PBE) and Cu Kα (weighted mean of Kα1 and Kα2).

Largest 10 diffraction maxima, low angle first, 2θ from 10° to 80°:
2θ/deg	Rel. int.
12.30	804
24.74	1000
26.41	574
26.88	374
27.04	924
29.04	513
29.41	498
32.09	490
36.07	595
39.90	280

Crystal structure
```
Rb2S5Br2
1.0
4.562 0.000 0.000
-0.944 11.390 0.000
-1.081 -4.286 12.781
Rb S Br
4 10 4
Cartesian
0.000 0.000 0.000
-0.959 7.667 3.379
3.487 2.963 5.705
3.495 -0.578 9.210
-1.326 3.364 9.449
0.196 4.801 9.587
1.294 3.128 2.298
1.418 5.953 0.657
1.021 7.597 7.103
1.049 9.293 6.149
2.212 1.426 2.603
2.331 4.263 0.895
1.711 3.972 10.753
2.433 7.379 8.426
1.177 1.089 7.342
1.332 9.313 1.489
1.284 5.439 4.844
1.210 -2.160 11.257
```

No. 2
Diffraction record for DyPaBe17. The X-ray powder pattern is theoretical, not measured: it uses a structure optimized by DFT (PBE) and Cu Kα (weighted mean of Kα1 and Kα2).

Largest 10 diffraction maxima, low angle first, 2θ from 10° to 80°:
2θ/deg	Rel. int.
15.37	692
20.54	269
23.01	1000
23.56	313
33.17	906
40.41	295
47.01	225
47.31	412
48.22	223
68.90	309

Crystal structure
```
DyPaBe17
1.0
3.866 2.232 3.775
-3.866 2.232 3.775
0.000 -4.464 3.775
Dy Pa Be
1 1 17
Cartesian
0.000 0.000 0.000
0.000 0.000 7.690
0.000 -2.199 1.882
-1.905 1.100 1.882
-1.075 -1.858 3.835
-2.147 -0.002 3.835
-1.914 -1.105 5.795
0.000 0.000 2.774
1.075 -1.858 3.835
-1.072 1.860 3.835
0.000 -2.217 5.734
-1.920 1.108 5.734
0.000 0.000 4.919
1.905 1.100 1.882
2.147 -0.002 3.835
1.072 1.860 3.835
1.914 -1.105 5.795
0.000 2.210 5.795
1.920 1.108 5.734
```

No. 3
Diffraction record for Nd2Er3Tm5. The X-ray powder pattern is theoretical, not measured: it uses a structure optimized by DFT (PBE) and Cu Kα (weighted mean of Kα1 and Kα2).

Largest 10 diffraction maxima, low angle first, 2θ from 10° to 80°:
2θ/deg	Rel. int.
30.60	1000
30.66	959
30.77	821
30.89	844
32.40	411
34.14	822
38.34	283
49.49	361
58.93	275
66.52	382

Crystal structure
```
Nd2Er3Tm5
1.0
5.252 -7.872 0.000
5.252 7.872 0.000
-5.217 0.000 7.758
Nd Er Tm
4 6 10
Cartesian
1.247 2.015 0.360
-1.361 -2.015 4.239
6.649 2.015 3.519
4.041 -2.015 7.398
1.340 7.528 5.819
1.256 1.917 3.484
-1.352 -1.917 7.363
6.640 1.917 0.395
4.031 -1.917 4.274
3.948 -7.528 1.940
-1.248 1.884 6.040
1.340 4.227 5.819
3.948 3.560 1.940
1.360 -1.884 2.161
3.948 0.417 1.940
1.340 -0.417 5.819
3.928 1.884 5.597
1.340 -3.560 5.819
3.948 -4.227 1.940
6.536 -1.884 1.718
```

No. 4
Diffraction record for K3Na3Nb8P5O35. The X-ray powder pattern is theoretical, not measured: it uses a structure optimized by DFT (PBE) and Cu Kα (weighted mean of Kα1 and Kα2).

Largest 10 diffraction maxima, low angle first, 2θ from 10° to 80°:
2θ/deg	Rel. int.
11.53	378
17.26	359
19.41	699
22.63	294
23.12	429
25.28	310
26.06	1000
29.99	873
30.41	474
32.66	420

Crystal structure
```
K3Na3Nb8P5O35
1.0
4.573 2.641 10.277
-4.573 2.641 10.277
0.000 -5.281 10.277
K Na Nb P O
3 3 8 5 35
Cartesian
-1.886 -2.014 10.277
-0.801 2.641 10.277
-1.886 2.014 20.555
-0.983 -1.703 15.416
-0.983 1.703 15.416
1.966 0.000 15.416
-3.445 0.777 12.231
-3.445 -0.777 18.601
0.000 0.000 7.208
1.050 -3.372 12.231
2.396 -2.595 18.601
0.000 0.000 23.625
2.396 2.595 12.231
1.050 3.372 18.601
-4.052 0.000 15.416
0.000 0.000 12.574
2.026 -3.509 15.416
0.000 0.000 18.258
2.026 3.509 15.416
-3.479 0.744 10.277
-0.400 -1.579 5.794
-0.874 -3.942 12.371
-1.641 -0.017 8.197
-2.977 -2.728 18.461
-1.167 1.136 5.794
-3.128 -0.623 16.503
-3.128 0.623 14.329
1.095 -3.385 10.277
-2.977 2.728 12.371
-1.384 0.404 11.976
0.836 -1.413 8.197
0.342 -1.400 11.976
1.024 -3.021 14.329
1.567 0.443 5.794
-1.384 -0.404 18.856
0.806 1.430 8.197
0.000 0.000 14.083
0.000 0.000 16.749
-1.641 0.017 22.635
1.041 0.996 11.976
-1.167 -1.136 25.038
2.104 -2.398 16.503
1.041 -0.996 18.856
0.806 -1.430 22.635
0.342 1.400 18.856
-0.874 3.942 18.461
2.384 2.641 10.277
1.024 3.021 16.503
2.104 2.398 14.329
-0.400 1.579 25.038
3.851 1.214 12.371
0.836 1.413 22.635
3.851 -1.214 18.461
1.567 -0.443 25.038
```

No. 5
Diffraction record for TiZn4Cu. The X-ray powder pattern is theoretical, not measured: it uses a structure optimized by DFT (PBE) and Cu Kα (weighted mean of Kα1 and Kα2).

Largest 10 diffraction maxima, low angle first, 2θ from 10° to 80°:
2θ/deg	Rel. int.
16.35	200
36.60	267
37.35	235
40.75	579
41.89	338
42.04	688
42.48	1000
43.31	881
44.23	730
74.77	184

Crystal structure
```
TiZn4Cu
1.0
3.287 -5.942 0.000
3.287 5.942 0.000
-1.849 0.000 4.556
Ti Zn Cu
2 8 2
Cartesian
1.901 5.108 3.417
2.825 -5.108 1.139
-0.228 1.545 3.946
1.722 2.237 2.070
0.696 -1.545 1.668
3.929 2.237 0.208
0.797 -2.237 4.348
4.029 1.545 2.889
3.004 -2.237 2.486
4.954 -1.545 0.611
2.825 0.053 1.139
1.901 -0.053 3.417
```